# 1
This entry pairs a crystal structure of PrB2HF10 with its calculated XRD peak list. Radiation: λ = 1.5418 Å (Cu Kα). Structure: DFT lattice parameters and positions (GGA-PBE).
Kinematic intensities with the Lorentz-polarization factor, no thermal factor.

Largest 6 diffraction maxima, by angle, 15 to 90 degrees two-theta:
2θ 18.37, I 40
2θ 19.98, I 100
2θ 25.04, I 71
2θ 25.42, I 35
2θ 31.08, I 36
2θ 44.84, I 38

Unit cell a=7.243 b=5.951 c=8.945 alpha=90.00 beta=112.52 gamma=90.00
Space group P2_1/m (No. 11)
Unique sites:
Pr 0.230 0.250 0.159 [2 per cell]
B 0.261 0.750 0.453 [2 per cell]
B 0.423 0.250 0.812 [2 per cell]
H 0.068 0.750 0.646 [2 per cell]
F 0.000 0.000 0.000 [2 per cell]
F 0.058 0.750 0.753 [2 per cell]
F 0.088 0.750 0.490 [2 per cell]
F 0.259 0.556 0.360 [4 per cell]
F 0.288 0.250 0.894 [2 per cell]
F 0.323 0.250 0.648 [2 per cell]
F 0.433 0.750 0.597 [2 per cell]
F 0.451 0.556 0.136 [4 per cell]



# 2
This entry pairs a crystal structure of Hg2BF4 with its calculated XRD peak list. Radiation: λ = 1.5418 Å (Cu Kα). Structure: DFT lattice parameters and positions (GGA-PBE).
Kinematic intensities with the Lorentz-polarization factor, no thermal factor.

Largest 6 diffraction maxima, by angle, 15 to 90 degrees two-theta:
2θ 16.53, I 100
2θ 17.79, I 83
2θ 23.99, I 63
2θ 24.75, I 61
2θ 36.86, I 44
2θ 37.47, I 34

Unit cell a=9.979 b=5.477 c=7.213 alpha=90.00 beta=131.98 gamma=90.00
Space group Cm (No. 8)
Unique sites:
Hg 0.000 0.250 0.000 [4 per cell]
B 0.051 0.000 0.550 [2 per cell]
F 0.087 0.211 0.691 [4 per cell]
F 0.167 0.000 0.500 [2 per cell]
F 0.370 0.500 0.322 [2 per cell]



# 3
This entry pairs a crystal structure of HgBF with its calculated XRD peak list. Radiation: λ = 1.5418 Å (Cu Kα). Structure: DFT lattice parameters and positions (GGA-PBE).
Kinematic intensities with the Lorentz-polarization factor, no thermal factor.

Largest 6 diffraction maxima, by angle, 15 to 90 degrees two-theta:
2θ 15.02, I 40
2θ 17.09, I 100
2θ 28.19, I 30
2θ 33.74, I 29
2θ 34.24, I 28
2θ 36.32, I 35

Unit cell a=3.240 b=6.252 c=6.402 alpha=112.13 beta=90.05 gamma=103.80
Space group P-1 (No. 2)
Unique sites:
Hg 0.152 0.297 0.347 [2 per cell]
B 0.494 0.995 0.868 [2 per cell]
F 0.425 0.814 0.193 [2 per cell]